Ti7Ga5Sb: calculated powder diffractogram (a wavelength of 1.5418 Å), based on DFT lattice parameters and positions (PBE).
Kinematic intensities with the Lorentz-polarization factor, no thermal factor.

a b c (Å): 7.0564 7.0564 7.0564
angles (deg): 136.84 99.31 96.25
Atoms (fractional coordinates):
Ti 0.0000 0.0000 0.0000
Ti 0.2597 0.2597 0.0000
Ti 0.2734 0.6198 0.6536
Ti 0.4456 0.1189 0.3268
Ti 0.7921 0.1189 0.6732
Ti 0.8561 0.3561 0.5000
Ti 0.9661 0.6198 0.3464
Ga 0.1238 0.1259 0.5028
Ga 0.1238 0.6210 0.9979
Ga 0.3755 0.8755 0.5000
Ga 0.6231 0.1259 0.0021
Ga 0.6231 0.6210 0.4972
Sb 0.6767 0.6767 0.0000

Main lines, in order of rising 2θ (2θ = 10–90°):
- 27.2°, intensity 32
- 34.1°, intensity 37
- 38.2°, intensity 50
- 39.3°, intensity 100
- 39.5°, intensity 43
- 39.6°, intensity 65
- 40.0°, intensity 89
- 43.3°, intensity 44
- 44.1°, intensity 43
- 44.5°, intensity 77